Starting from the PBE geometry in Alexandria, the PXRD pattern of Ce14Pu3Ru6 was simulated for Cu Ka.

Structure:
```
Ce14Pu3Ru6
1.0
9.8690 0.0000 0.0000
-4.9345 8.5468 0.0000
0.0000 0.0000 6.2524
Ce Pu Ru
14 3 6
direct
0.0000 0.0000 0.0000
0.0634 0.5317 0.7621
0.2063 0.4127 0.2318
0.2063 0.7937 0.2318
0.2973 0.1486 0.5564
0.3633 0.1816 0.0618
0.4683 0.5317 0.7621
0.4683 0.9366 0.7621
0.5873 0.7937 0.2318
0.6667 0.3333 0.5181
0.8184 0.1816 0.0618
0.8184 0.6367 0.0618
0.8514 0.1486 0.5564
0.8514 0.7027 0.5564
0.0000 0.0000 0.4150
0.3333 0.6667 0.5482
0.6667 0.3333 0.9338
0.1488 0.2976 0.7253
0.1488 0.8512 0.7253
0.5162 0.0325 0.2513
0.5162 0.4838 0.2513
0.7024 0.8512 0.7253
0.9675 0.4838 0.2513
```

Most intense lines, 2θ = 15–90°, by angle:
17.58°, I = 17.0
30.45°, I = 21.3
31.16°, I = 37.6
33.95°, I = 32.9
34.60°, I = 22.4
35.58°, I = 58.6
36.42°, I = 100.0
42.95°, I = 25.9
48.65°, I = 14.8
51.83°, I = 15.5



Starting from the PBE geometry in Alexandria, the PXRD pattern of Li2Bi2Au was simulated for Cu Ka.

Structure:
```
Li2Bi2Au
1.0
3.7998 -4.5384 0.0000
3.7998 4.5384 0.0000
0.0000 0.0000 7.0290
Li Bi Au
4 4 2
direct
0.1505 0.7182 0.0000
0.2818 0.8495 0.5000
0.7182 0.1505 0.5000
0.8495 0.2818 0.0000
0.2495 0.3350 0.3228
0.3350 0.2495 0.8228
0.6650 0.7505 0.8228
0.7505 0.6650 0.3228
0.0000 0.5000 0.6637
0.5000 0.0000 0.1637
```

Most intense lines, 2θ = 15–90°, by angle:
19.79°, I = 52.3
23.41°, I = 100.0
25.34°, I = 37.2
32.21°, I = 68.8
34.36°, I = 94.7
34.77°, I = 28.0
40.21°, I = 61.6
41.54°, I = 29.1
48.63°, I = 25.2
66.28°, I = 27.6



Starting from the PBE geometry in Alexandria, the PXRD pattern of IrRh2 was simulated for Cu Ka.

Structure:
```
IrRh2
1.0
-1.9266 1.9266 11.5404
1.9266 -1.9266 11.5404
1.9266 1.9266 -11.5404
Ir Rh
4 8
direct
0.2910 0.5410 0.7500
0.4590 0.7090 0.7500
0.5410 0.2910 0.2500
0.7090 0.4590 0.2500
0.0414 0.7914 0.2500
0.1246 0.3746 0.7500
0.2086 0.9586 0.2500
0.3746 0.1246 0.2500
0.6254 0.8754 0.7500
0.7914 0.0414 0.7500
0.8754 0.6254 0.2500
0.9586 0.2086 0.7500
```

Most intense lines, 2θ = 15–90°, by angle:
15.36°, I = 3.2
23.41°, I = 6.3
30.21°, I = 3.8
35.84°, I = 2.0
40.58°, I = 100.0
47.20°, I = 48.5
68.97°, I = 31.0
83.16°, I = 25.0
83.28°, I = 12.4
87.81°, I = 11.1



Starting from the PBE geometry in Alexandria, the PXRD pattern of Sr2LiCd3Bi4 was simulated for Cu Ka.

Structure:
```
Sr2LiCd3Bi4
1.0
4.9065 0.0000 0.0000
0.0000 4.9065 0.0000
0.0000 0.0000 13.2634
Sr Li Cd Bi
2 1 3 4
direct
0.0000 0.5000 0.2480
0.5000 0.0000 0.7520
0.5000 0.5000 0.0000
0.0000 0.0000 0.0000
0.0000 0.5000 0.6448
0.5000 0.0000 0.3552
0.0000 0.0000 0.5000
0.0000 0.5000 0.8654
0.5000 0.0000 0.1346
0.5000 0.5000 0.5000
```

Most intense lines, 2θ = 15–90°, by angle:
19.29°, I = 43.9
26.56°, I = 33.5
27.15°, I = 47.3
29.05°, I = 100.0
36.63°, I = 74.7
37.52°, I = 70.6
38.58°, I = 42.6
52.77°, I = 26.3
54.25°, I = 31.6
66.54°, I = 26.9



Starting from the PBE geometry in Alexandria, the PXRD pattern of BiRhSe was simulated for Cu Ka.

Structure:
```
BiRhSe
1.0
6.6188 0.0000 0.0000
0.0000 6.3927 0.0000
-1.8515 0.0000 6.3887
Bi Rh Se
4 4 4
direct
0.1460 0.1323 0.3581
0.1460 0.3677 0.8581
0.8540 0.6323 0.1419
0.8540 0.8677 0.6419
0.2675 0.5128 0.2586
0.2675 0.9872 0.7586
0.7325 0.0128 0.2414
0.7325 0.4872 0.7414
0.3561 0.6314 0.6416
0.3561 0.8686 0.1416
0.6439 0.1314 0.8584
0.6439 0.3686 0.3584
```

Most intense lines, 2θ = 15–90°, by angle:
19.68°, I = 28.4
27.93°, I = 33.4
28.07°, I = 30.3
31.30°, I = 81.9
31.43°, I = 61.7
32.71°, I = 100.0
43.26°, I = 47.5
43.45°, I = 44.3
45.52°, I = 39.2
48.44°, I = 47.4



Starting from the PBE geometry in Alexandria, the PXRD pattern of BH4I2 was simulated for Cu Ka.

Structure:
```
BH4I2
1.0
6.4630 0.0000 0.0000
0.0000 8.2404 0.0000
-2.0665 0.0000 5.3405
B H I
2 8 4
direct
0.0000 0.0000 0.0000
0.5000 0.5000 0.0000
0.0596 0.1235 0.9117
0.0596 0.8765 0.9117
0.1073 0.0000 0.8571
0.3043 0.5000 0.9410
0.5596 0.3765 0.9117
0.5596 0.6235 0.9117
0.6073 0.5000 0.8571
0.8043 0.0000 0.9410
0.1371 0.2395 0.3794
0.1371 0.7605 0.3794
0.6371 0.2605 0.3794
0.6371 0.7395 0.3794
```

Most intense lines, 2θ = 15–90°, by angle:
16.60°, I = 100.0
21.57°, I = 53.9
27.34°, I = 72.2
28.27°, I = 32.3
29.64°, I = 27.8
33.56°, I = 20.7
35.84°, I = 32.1
36.95°, I = 29.9
40.25°, I = 22.9
42.35°, I = 21.1



Starting from the PBE geometry in Alexandria, the PXRD pattern of TmSc3 was simulated for Cu Ka.

Structure:
```
TmSc3
1.0
3.3803 0.0000 0.0000
0.0000 10.5027 0.0000
0.0000 0.0000 5.8350
Tm Sc
2 6
direct
0.0000 0.0000 0.0000
0.5000 0.5000 0.5000
0.0000 0.2461 0.6616
0.0000 0.5000 0.9965
0.0000 0.7539 0.6616
0.5000 0.0000 0.4965
0.5000 0.2539 0.1616
0.5000 0.7461 0.1616
```

Most intense lines, 2θ = 15–90°, by angle:
16.88°, I = 20.2
17.39°, I = 37.0
27.72°, I = 13.2
30.59°, I = 34.3
34.15°, I = 22.8
35.14°, I = 100.0
46.50°, I = 21.4
54.42°, I = 11.4
61.78°, I = 18.3
65.84°, I = 12.6



Starting from the PBE geometry in Alexandria, the PXRD pattern of ZnCr2Hg was simulated for Cu Ka.

Structure:
```
ZnCr2Hg
1.0
3.9884 0.0000 0.0000
0.0000 3.9884 0.0000
0.0000 0.0000 8.1250
Zn Cr Hg
2 4 2
direct
0.0000 0.0000 0.0000
0.5000 0.5000 0.5000
0.0000 0.0000 0.5000
0.0000 0.5000 0.7500
0.5000 0.0000 0.2500
0.5000 0.5000 0.0000
0.0000 0.5000 0.2500
0.5000 0.0000 0.7500
```

Most intense lines, 2θ = 15–90°, by angle:
21.88°, I = 12.0
24.87°, I = 46.3
38.87°, I = 100.0
40.25°, I = 14.1
44.61°, I = 16.8
45.48°, I = 31.6
52.53°, I = 13.6
65.61°, I = 20.4
78.32°, I = 12.2
79.59°, I = 23.4



Starting from the PBE geometry in Alexandria, the PXRD pattern of Si2AgBi2 was simulated for Cu Ka.

Structure:
```
Si2AgBi2
1.0
6.4632 0.0000 0.0000
0.0000 6.4632 0.0000
0.0000 0.0000 5.8423
Si Ag Bi
4 2 4
direct
0.1309 0.3691 0.0000
0.3691 0.8691 0.0000
0.6309 0.1309 0.0000
0.8691 0.6309 0.0000
0.0000 0.0000 0.0000
0.5000 0.5000 0.0000
0.1858 0.3142 0.5000
0.3142 0.8142 0.5000
0.6858 0.1858 0.5000
0.8142 0.6858 0.5000
```

Most intense lines, 2θ = 15–90°, by angle:
15.17°, I = 48.6
24.73°, I = 26.7
30.60°, I = 59.8
30.94°, I = 68.3
31.64°, I = 100.0
34.62°, I = 55.0
44.08°, I = 52.4
54.82°, I = 23.4
61.22°, I = 28.5
67.85°, I = 22.6



Starting from the PBE geometry in Alexandria, the PXRD pattern of BaNa2Zr3Se8 was simulated for Cu Ka.

Structure:
```
BaNa2Zr3Se8
1.0
4.0589 2.3434 7.5376
-4.0589 2.3434 7.5376
0.0000 -4.6868 7.5376
Ba Na Zr Se
1 2 3 8
direct
0.0000 0.0000 0.0000
0.3709 0.3709 0.3709
0.7412 0.7412 0.7412
0.3711 0.3711 0.8589
0.3711 0.8589 0.3711
0.8589 0.3711 0.3711
0.1215 0.1215 0.5597
0.1215 0.5597 0.1215
0.1377 0.1377 0.1377
0.1570 0.6241 0.6241
0.5597 0.1215 0.1215
0.6048 0.6048 0.6048
0.6241 0.1570 0.6241
0.6241 0.6241 0.1570
```

Most intense lines, 2θ = 15–90°, by angle:
20.16°, I = 33.8
24.92°, I = 39.0
25.65°, I = 27.7
26.56°, I = 28.6
29.93°, I = 100.0
37.82°, I = 68.3
39.33°, I = 19.9
40.97°, I = 61.1
44.65°, I = 69.1
79.14°, I = 22.4



Starting from the PBE geometry in Alexandria, the PXRD pattern of In12Ga2Pb was simulated for Cu Ka.

Structure:
```
In12Ga2Pb
1.0
12.0291 0.0000 0.0000
0.0000 6.5632 0.0000
-1.7584 0.0000 10.3562
In Ga Pb
24 4 2
direct
0.0840 0.1180 0.3876
0.0840 0.8820 0.8876
0.1142 0.2991 0.6949
0.1142 0.7009 0.1949
0.1211 0.3570 0.0019
0.1211 0.6430 0.5019
0.2983 0.4104 0.3546
0.2983 0.5896 0.8546
0.3620 0.1130 0.9451
0.3620 0.8870 0.4451
0.3949 0.3244 0.6375
0.3949 0.6756 0.1375
0.6051 0.3244 0.8625
0.6051 0.6756 0.3625
0.6380 0.1130 0.5549
0.6380 0.8870 0.0549
0.7017 0.4104 0.1454
0.7017 0.5896 0.6454
0.8789 0.3570 0.4981
0.8789 0.6430 0.9981
0.8858 0.2991 0.8051
0.8858 0.7009 0.3051
0.9160 0.1180 0.1124
0.9160 0.8820 0.6124
0.2390 0.0597 0.1770
0.2390 0.9403 0.6770
0.7610 0.0597 0.3230
0.7610 0.9403 0.8230
0.5000 0.1598 0.2500
0.5000 0.8402 0.7500
```

Most intense lines, 2θ = 15–90°, by angle:
31.30°, I = 92.9
31.66°, I = 100.0
32.18°, I = 46.0
32.98°, I = 41.5
33.64°, I = 61.4
36.91°, I = 38.2
37.71°, I = 35.5
38.23°, I = 22.1
52.26°, I = 22.3
65.64°, I = 24.8



Starting from the PBE geometry in Alexandria, the PXRD pattern of Rb2ZnIrO4 was simulated for Cu Ka.

Structure:
```
Rb2ZnIrO4
1.0
0.0000 6.9415 9.9423
2.9217 0.0000 9.9423
2.9217 6.9415 0.0000
Rb Zn Ir O
4 2 2 8
direct
0.0491 0.0491 0.7009
0.2991 0.2991 0.9509
0.7009 0.7009 0.0491
0.9509 0.9509 0.2991
0.1250 0.1250 0.1250
0.8750 0.8750 0.8750
0.3750 0.3750 0.3750
0.6250 0.6250 0.6250
0.0353 0.7037 0.5244
0.2366 0.5244 0.7037
0.2963 0.9647 0.7634
0.4756 0.7634 0.9647
0.5244 0.2366 0.0353
0.7037 0.0353 0.2366
0.7634 0.4756 0.2963
0.9647 0.2963 0.4756
```

Most intense lines, 2θ = 15–90°, by angle:
15.57°, I = 79.7
17.84°, I = 64.9
21.26°, I = 94.6
25.67°, I = 52.4
28.04°, I = 50.0
29.88°, I = 100.0
33.27°, I = 61.7
41.19°, I = 27.2
49.17°, I = 62.7
50.30°, I = 26.8



Starting from the PBE geometry in Alexandria, the PXRD pattern of Ce10PuAu6 was simulated for Cu Ka.

Structure:
```
Ce10PuAu6
1.0
8.9991 0.0000 0.0000
-4.4995 7.7934 0.0000
0.0000 0.0000 6.2076
Ce Pu Au
10 1 6
direct
0.0000 0.2273 0.2248
0.0000 0.7727 0.7752
0.2273 0.0000 0.2248
0.2273 0.2273 0.7752
0.3333 0.6667 0.0000
0.3333 0.6667 0.5000
0.6667 0.3333 0.0000
0.6667 0.3333 0.5000
0.7727 0.0000 0.7752
0.7727 0.7727 0.2248
0.0000 0.0000 0.0000
0.0000 0.4131 0.7434
0.0000 0.5869 0.2566
0.4131 0.0000 0.7434
0.4131 0.4131 0.2566
0.5869 0.0000 0.2566
0.5869 0.5869 0.7434
```

Most intense lines, 2θ = 15–90°, by angle:
18.27°, I = 15.1
28.76°, I = 13.2
30.34°, I = 13.3
33.68°, I = 100.0
34.53°, I = 29.0
35.12°, I = 73.0
44.38°, I = 23.0
54.17°, I = 25.4
63.85°, I = 12.6
67.21°, I = 16.1